Starting from a DFT-relaxed cell (GGA-PBE, Alexandria), the XRD peak list of BiPdAu2O8 was computed for Cu Kα.

Main lines, low angle first (2θ = 5–70°):
Position (°2θ), d_spacing, intensity
17.96, 4.939, 5
26.49, 3.365, 93
30.96, 2.889, 100
32.19, 2.781, 7
37.81, 2.379, 27
49.64, 1.837, 69
50.20, 1.817, 10
54.55, 1.682, 14
57.64, 1.599, 21
61.64, 1.505, 15
64.05, 1.454, 19
64.52, 1.444, 13

Structure:
```
12
Lattice="-3.3648 3.3648 3.6350 3.3648 -3.3648 3.6350 3.3648 3.3648 -3.6350" Properties=species:S:1:pos:R:3 pbc="T T T"
Bi 0.0000 0.0000 0.0000
Pd 0.0000 3.3648 1.8175
Au 3.3648 0.0000 1.8175
Au 0.0000 0.0000 3.6350
O 2.1971 0.0000 0.2274
O 4.5326 0.0000 0.2274
O 3.3648 2.0891 -1.6435
O 3.3648 -1.1677 3.4076
O 0.0000 1.2757 1.9914
O 3.3648 1.1677 3.4076
O 2.0891 3.3648 1.6435
O 1.2757 0.0000 5.2785
```



Starting from a DFT-relaxed cell (GGA-PBE, Alexandria), the XRD peak list of Pr3Cu3Sb4 was computed for Cu Kα.

Main lines, low angle first (2θ = 5–70°):
Position (°2θ), d_spacing, intensity
28.73, 3.108, 51
34.14, 2.627, 100
41.07, 2.198, 33
43.18, 2.095, 10
45.20, 2.006, 17
47.15, 1.927, 11
57.84, 1.594, 17
59.49, 1.554, 13
61.11, 1.516, 9
64.28, 1.449, 7
65.84, 1.419, 9
68.90, 1.363, 7

Structure:
```
20
Lattice="-4.9139 4.9139 4.9139 4.9139 -4.9139 4.9139 4.9139 4.9139 -4.9139" Properties=species:S:1:pos:R:3 pbc="T T T"
Pr 7.3708 1.2285 0.0000
Pr 3.6854 0.0000 2.4569
Pr 2.4569 3.6854 0.0000
Pr 0.0000 2.4569 3.6854
Pr 1.2285 0.0000 7.3708
Pr 0.0000 7.3708 1.2285
Cu 4.9139 -2.4569 3.6854
Cu 3.6854 4.9139 -2.4569
Cu 4.9139 2.4569 1.2285
Cu 2.4569 1.2285 4.9139
Cu 1.2285 4.9139 2.4569
Cu -2.4569 3.6854 4.9139
Sb 4.1278 0.7861 -0.7861
Sb 6.5847 -1.6708 1.6708
Sb 0.7861 0.7861 0.7861
Sb 0.7861 -0.7861 4.1278
Sb -0.7861 4.1278 0.7861
Sb 1.6708 6.5847 -1.6708
Sb 3.2431 3.2431 3.2431
Sb -1.6708 1.6708 6.5847
```